Computed powder XRD pattern
Compound: BaV4O9
Radiation: a wavelength of 1.5418 Å
Structure: a GGA+U-relaxed structure
Lines closer than 0.1° are merged.

Main lines, low angle first (2θ = 5–70°):
| 2theta | d/Å | intensity |
| --- | --- | --- |
| 21.5 | 4.137 | 64 |
| 27.0 | 3.307 | 100 |
| 28.6 | 3.120 | 78 |
| 33.1 | 2.704 | 96 |
| 34.5 | 2.602 | 29 |
| 39.1 | 2.305 | 25 |
| 40.0 | 2.255 | 33 |
| 44.9 | 2.018 | 30 |
| 50.2 | 1.818 | 34 |
| 54.6 | 1.681 | 35 |

Structure:
Cell: 7.903 5.093 9.579 Å, 90.00 111.60 90.00°
Element x y z (fractional)
Ba  0.000  0.171  0.250
Ba  0.000  0.829  0.750
V  0.307  0.242  0.653
V  0.307  0.758  0.153
V  0.448  0.257  0.055
V  0.448  0.743  0.555
V  0.552  0.257  0.445
V  0.552  0.743  0.945
V  0.693  0.242  0.847
V  0.693  0.758  0.347
O  0.119  0.373  0.661
O  0.119  0.627  0.161
O  0.230  0.065  0.064
O  0.230  0.935  0.564
O  0.326  0.403  0.475
O  0.326  0.597  0.975
O  0.413  0.077  0.851
O  0.413  0.923  0.351
O  0.500  0.476  0.250
O  0.500  0.524  0.750
O  0.587  0.077  0.649
O  0.587  0.923  0.149
O  0.674  0.403  0.025
O  0.674  0.597  0.525
O  0.770  0.065  0.436
O  0.770  0.935  0.936
O  0.881  0.373  0.839
O  0.881  0.627  0.339


Computed powder XRD pattern
Compound: BaV4O7
Radiation: a wavelength of 1.5418 Å
Structure: a GGA+U-relaxed structure
Lines closer than 0.1° are merged.

Main lines, low angle first (2θ = 5–70°):
| 2theta | d/Å | intensity |
| --- | --- | --- |
| 16.2 | 5.477 | 44 |
| 17.5 | 5.068 | 44 |
| 27.0 | 3.301 | 16 |
| 29.0 | 3.077 | 45 |
| 31.7 | 2.827 | 46 |
| 32.4 | 2.766 | 100 |
| 35.4 | 2.534 | 19 |
| 52.6 | 1.739 | 16 |
| 55.7 | 1.650 | 27 |
| 60.1 | 1.538 | 17 |

Structure:
Cell: 6.601 6.601 10.953 Å, 90.00 90.00 120.00°
Element x y z (fractional)
Ba  0.333  0.667  0.000
Ba  0.667  0.333  0.500
V  0.000  0.000  0.397
V  0.000  0.000  0.897
V  0.169  0.339  0.641
V  0.169  0.831  0.641
V  0.339  0.169  0.141
V  0.661  0.831  0.641
V  0.831  0.169  0.141
V  0.831  0.661  0.141
O  0.000  0.000  0.212
O  0.000  0.000  0.712
O  0.014  0.507  0.680
O  0.148  0.297  0.470
O  0.148  0.852  0.470
O  0.297  0.148  0.970
O  0.493  0.507  0.680
O  0.493  0.986  0.680
O  0.507  0.014  0.180
O  0.507  0.493  0.180
O  0.703  0.852  0.470
O  0.852  0.148  0.970
O  0.852  0.703  0.970
O  0.986  0.493  0.180


Computed powder XRD pattern
Compound: Ba2V3O9
Radiation: a wavelength of 1.5418 Å
Structure: a GGA+U-relaxed structure
Lines closer than 0.1° are merged.

Main lines, low angle first (2θ = 5–70°):
| 2theta | d/Å | intensity |
| --- | --- | --- |
| 18.2 | 4.888 | 19 |
| 20.5 | 4.330 | 26 |
| 23.6 | 3.771 | 44 |
| 25.5 | 3.495 | 100 |
| 27.8 | 3.206 | 44 |
| 28.1 | 3.173 | 47 |
| 30.2 | 2.960 | 33 |
| 31.3 | 2.855 | 48 |
| 38.0 | 2.365 | 25 |
| 41.7 | 2.164 | 35 |

Structure:
Cell: 8.669 5.920 9.534 Å, 90.00 114.78 90.00°
Element x y z (fractional)
Ba  0.193  0.000  0.231
Ba  0.213  0.540  0.593
Ba  0.787  0.040  0.407
Ba  0.807  0.500  0.769
V  0.090  0.041  0.804
V  0.487  0.297  0.995
V  0.500  0.032  0.688
V  0.500  0.532  0.312
V  0.513  0.797  0.005
V  0.910  0.541  0.196
O  0.001  0.590  0.072
O  0.013  0.796  0.701
O  0.021  0.258  0.671
O  0.297  0.027  0.549
O  0.324  0.032  0.913
O  0.352  0.532  0.923
O  0.360  0.550  0.394
O  0.462  0.283  0.197
O  0.469  0.779  0.196
O  0.531  0.279  0.804
O  0.538  0.783  0.803
O  0.640  0.050  0.606
O  0.648  0.032  0.077
O  0.676  0.532  0.087
O  0.703  0.527  0.451
O  0.979  0.758  0.329
O  0.987  0.296  0.299
O  0.999  0.090  0.928


Computed powder XRD pattern
Compound: BaV8O16
Radiation: a wavelength of 1.5418 Å
Structure: a GGA+U-relaxed structure
Lines closer than 0.1° are merged.

Main lines, low angle first (2θ = 5–70°):
| 2theta | d/Å | intensity |
| --- | --- | --- |
| 15.4 | 5.765 | 47 |
| 17.8 | 4.972 | 48 |
| 27.5 | 3.240 | 100 |
| 27.7 | 3.224 | 47 |
| 28.1 | 3.170 | 45 |
| 28.3 | 3.155 | 87 |
| 35.5 | 2.531 | 43 |
| 35.7 | 2.512 | 45 |
| 40.0 | 2.252 | 63 |
| 47.6 | 1.910 | 38 |

Structure:
Cell: 6.021 7.266 7.365 Å, 85.97 77.14 78.52°
Element x y z (fractional)
Ba  0.000  0.000  0.000
V  0.072  0.517  0.179
V  0.169  0.819  0.502
V  0.336  0.185  0.484
V  0.423  0.480  0.815
V  0.577  0.520  0.185
V  0.664  0.815  0.516
V  0.831  0.181  0.498
V  0.928  0.483  0.821
O  0.021  0.286  0.631
O  0.149  0.044  0.357
O  0.152  0.629  0.698
O  0.160  0.350  0.956
O  0.311  0.640  0.046
O  0.327  0.373  0.304
O  0.345  0.953  0.639
O  0.479  0.710  0.377
O  0.521  0.290  0.623
O  0.655  0.047  0.361
O  0.673  0.627  0.696
O  0.689  0.360  0.954
O  0.840  0.650  0.044
O  0.848  0.371  0.302
O  0.851  0.956  0.643
O  0.979  0.714  0.369


Computed powder XRD pattern
Compound: BaV2O6
Radiation: a wavelength of 1.5418 Å
Structure: a GGA+U-relaxed structure
Lines closer than 0.1° are merged.

Main lines, low angle first (2θ = 5–70°):
| 2theta | d/Å | intensity |
| --- | --- | --- |
| 12.3 | 7.174 | 36 |
| 25.3 | 3.519 | 66 |
| 25.6 | 3.483 | 100 |
| 27.2 | 3.278 | 68 |
| 30.3 | 2.946 | 21 |
| 31.9 | 2.804 | 22 |
| 36.2 | 2.483 | 24 |
| 39.3 | 2.293 | 32 |
| 40.9 | 2.208 | 29 |
| 47.8 | 1.902 | 25 |

Structure:
Cell: 7.778 7.778 8.076 Å, 90.00 90.00 112.73°
Element x y z (fractional)
Ba  0.000  0.000  0.000
Ba  0.165  0.835  0.500
Ba  0.835  0.165  0.500
V  0.000  0.500  0.935
V  0.250  0.399  0.259
V  0.399  0.250  0.741
V  0.500  0.000  0.065
V  0.601  0.750  0.741
V  0.750  0.601  0.259
O  0.131  0.682  0.817
O  0.143  0.411  0.061
O  0.165  0.167  0.298
O  0.167  0.165  0.702
O  0.171  0.493  0.411
O  0.318  0.869  0.183
O  0.411  0.143  0.939
O  0.493  0.171  0.589
O  0.500  0.500  0.247
O  0.500  0.500  0.753
O  0.507  0.829  0.589
O  0.589  0.857  0.939
O  0.682  0.131  0.183
O  0.829  0.507  0.411
O  0.833  0.835  0.702
O  0.835  0.833  0.298
O  0.857  0.589  0.061
O  0.869  0.318  0.817


Computed powder XRD pattern
Compound: BaV2O6
Radiation: a wavelength of 1.5418 Å
Structure: a GGA+U-relaxed structure
Lines closer than 0.1° are merged.

Main lines, low angle first (2θ = 5–70°):
| 2theta | d/Å | intensity |
| --- | --- | --- |
| 20.1 | 4.422 | 7 |
| 25.4 | 3.500 | 100 |
| 35.1 | 2.553 | 21 |
| 37.4 | 2.403 | 9 |
| 40.8 | 2.211 | 8 |
| 43.9 | 2.063 | 16 |
| 47.7 | 1.906 | 34 |
| 52.2 | 1.752 | 11 |
| 57.4 | 1.604 | 19 |
| 64.5 | 1.445 | 13 |

Structure:
Cell: 5.106 5.106 5.727 Å, 90.00 90.00 120.00°
Element x y z (fractional)
Ba  0.000  0.000  0.000
V  0.333  0.667  0.500
V  0.667  0.333  0.500
O  0.000  0.409  0.692
O  0.000  0.591  0.308
O  0.409  0.000  0.692
O  0.409  0.409  0.308
O  0.591  0.000  0.308
O  0.591  0.591  0.692


Computed powder XRD pattern
Compound: BaWO4
Radiation: a wavelength of 1.5418 Å
Structure: a GGA+U-relaxed structure
Lines closer than 0.1° are merged.

Main lines, low angle first (2θ = 5–70°):
| 2theta | d/Å | intensity |
| --- | --- | --- |
| 21.8 | 4.077 | 100 |
| 29.0 | 3.082 | 84 |
| 31.0 | 2.883 | 28 |
| 43.0 | 2.105 | 64 |
| 44.4 | 2.038 | 16 |
| 50.0 | 1.823 | 21 |
| 53.9 | 1.700 | 18 |
| 55.2 | 1.664 | 14 |
| 60.0 | 1.541 | 13 |
| 63.5 | 1.464 | 18 |

Structure:
Cell: 6.822 6.822 6.822 Å, 106.60 106.60 115.38°
Element x y z (fractional)
Ba  0.375  0.625  0.750
Ba  0.625  0.375  0.250
W  0.125  0.875  0.250
W  0.875  0.125  0.750
O  0.148  0.722  0.426
O  0.204  0.278  0.926
O  0.278  0.204  0.426
O  0.278  0.852  0.074
O  0.722  0.148  0.926
O  0.722  0.796  0.574
O  0.796  0.722  0.074
O  0.852  0.278  0.574


Computed powder XRD pattern
Compound: BaW6O19
Radiation: a wavelength of 1.5418 Å
Structure: a GGA+U-relaxed structure
Lines closer than 0.1° are merged.

Main lines, low angle first (2θ = 5–70°):
| 2theta | d/Å | intensity |
| --- | --- | --- |
| 13.7 | 6.478 | 50 |
| 22.9 | 3.878 | 59 |
| 26.8 | 3.325 | 23 |
| 27.5 | 3.243 | 100 |
| 27.6 | 3.230 | 55 |
| 35.8 | 2.511 | 27 |
| 36.2 | 2.482 | 21 |
| 36.4 | 2.465 | 23 |
| 48.8 | 1.867 | 27 |
| 54.7 | 1.677 | 22 |

Structure:
Cell: 7.470 7.470 7.758 Å, 90.62 90.62 119.73°
Element x y z (fractional)
Ba  0.000  0.000  0.000
W  0.060  0.568  0.236
W  0.072  0.570  0.732
W  0.543  0.543  0.222
W  0.568  0.060  0.236
W  0.570  0.072  0.732
W  0.578  0.578  0.698
O  0.028  0.578  0.485
O  0.095  0.563  0.980
O  0.271  0.502  0.282
O  0.271  0.860  0.228
O  0.281  0.864  0.735
O  0.292  0.508  0.689
O  0.348  0.348  0.018
O  0.502  0.271  0.282
O  0.508  0.292  0.689
O  0.527  0.527  0.955
O  0.563  0.095  0.980
O  0.578  0.028  0.485
O  0.623  0.623  0.469
O  0.637  0.846  0.187
O  0.657  0.862  0.764
O  0.846  0.637  0.187
O  0.860  0.271  0.228
O  0.862  0.657  0.764
O  0.864  0.281  0.735


Computed powder XRD pattern
Compound: BaW6O18
Radiation: a wavelength of 1.5418 Å
Structure: a GGA+U-relaxed structure
Lines closer than 0.1° are merged.

Main lines, low angle first (2θ = 5–70°):
| 2theta | d/Å | intensity |
| --- | --- | --- |
| 13.6 | 6.517 | 29 |
| 23.0 | 3.872 | 46 |
| 26.8 | 3.329 | 22 |
| 27.4 | 3.258 | 100 |
| 36.0 | 2.493 | 51 |
| 48.4 | 1.881 | 26 |
| 54.2 | 1.692 | 21 |
| 55.2 | 1.664 | 19 |
| 56.5 | 1.629 | 16 |
| 61.8 | 1.502 | 14 |

Structure:
Cell: 7.525 7.525 7.744 Å, 90.00 90.00 120.00°
Element x y z (fractional)
Ba  0.000  0.000  0.000
W  0.000  0.500  0.141
W  0.000  0.500  0.639
W  0.500  0.000  0.141
W  0.500  0.000  0.639
W  0.500  0.500  0.141
W  0.500  0.500  0.639
O  0.000  0.500  0.389
O  0.000  0.500  0.890
O  0.208  0.416  0.136
O  0.208  0.792  0.136
O  0.212  0.424  0.642
O  0.212  0.788  0.642
O  0.416  0.208  0.136
O  0.424  0.212  0.642
O  0.500  0.000  0.389
O  0.500  0.000  0.890
O  0.500  0.500  0.389
O  0.500  0.500  0.890
O  0.576  0.788  0.642
O  0.584  0.792  0.136
O  0.788  0.212  0.642
O  0.788  0.576  0.642
O  0.792  0.208  0.136
O  0.792  0.584  0.136


Computed powder XRD pattern
Compound: Ba2W3O8
Radiation: a wavelength of 1.5418 Å
Structure: a GGA+U-relaxed structure
Lines closer than 0.1° are merged.

Main lines, low angle first (2θ = 5–70°):
| 2theta | d/Å | intensity |
| --- | --- | --- |
| 22.1 | 4.025 | 38 |
| 26.8 | 3.330 | 87 |
| 31.4 | 2.846 | 88 |
| 31.7 | 2.820 | 100 |
| 38.0 | 2.371 | 36 |
| 45.0 | 2.013 | 52 |
| 50.1 | 1.822 | 47 |
| 53.2 | 1.722 | 27 |
| 56.1 | 1.638 | 41 |
| 60.3 | 1.534 | 36 |

Structure:
Cell: 4.025 4.025 11.854 Å, 90.00 90.00 90.00°
Element x y z (fractional)
Ba  0.000  0.000  0.192
Ba  0.000  0.000  0.808
W  0.500  0.500  0.000
W  0.500  0.500  0.389
W  0.500  0.500  0.611
O  0.000  0.500  0.001
O  0.000  0.500  0.375
O  0.000  0.500  0.642
O  0.500  0.000  0.358
O  0.500  0.000  0.625
O  0.500  0.000  0.999
O  0.500  0.500  0.165
O  0.500  0.500  0.835